Entry 1:
NaCoGeO4: calculated XRD peak list (Cu Kα), based on a GGA+U-relaxed structure.
No peak broadening, texture or thermal motion is included.

Main lines, sorted by position (2θ = 5–70°):
- 2θ = 21.60°, d 4.113, I = 100, hkl 1 0 1
- 2θ = 22.99°, d 3.868, I = 9, hkl 1 1 0
- 2θ = 32.74°, d 2.735, I = 25, hkl 2 0 0
- 2θ = 37.02°, d 2.429, I = 70, hkl 1 1 2
- 2θ = 39.57°, d 2.278, I = 23, hkl 1 2 1
- 2θ = 44.03°, d 2.057, I = 5, hkl 2 0 2
- 2θ = 46.72°, d 1.944, I = 6, hkl 1 0 3
- 2θ = 46.99°, d 1.934, I = 21, hkl 2 2 0
- 2θ = 58.22°, d 1.585, I = 11, hkl 1 2 3
- 2θ = 61.27°, d 1.513, I = 31, hkl 1 3 2
- 2θ = 63.06°, d 1.474, I = 11, hkl 2 3 1
- 2θ = 69.35°, d 1.355, I = 12, hkl 2 0 4

Structure:
```
data_NaCoGeO4
_chemical_formula_sum 'Na2 Co2 Ge2 O8'
_symmetry_space_group_name_H-M 'I -4'
_symmetry_Int_Tables_number 82
_symmetry_space_group_name_Hall 'I -4'
_cell_length_a 5.4700
_cell_length_b 5.4700
_cell_length_c 6.2404
_cell_angle_alpha 90.00
_cell_angle_beta 90.00
_cell_angle_gamma 90.00
loop_
_atom_site_label
_atom_site_fract_x
_atom_site_fract_y
_atom_site_fract_z
Na1 0.0000 0.0000 0.0000
Co1 0.0000 0.5000 0.2500
Ge1 0.0000 0.0000 0.5000
O1 0.1562 0.7812 0.3365
```

Entry 2:
Na2CoGeO4: calculated XRD peak list (Cu Kα), based on a GGA+U-relaxed structure.
No peak broadening, texture or thermal motion is included.

Main lines, sorted by position (2θ = 5–70°):
- 2θ = 14.11°, d 6.277, I = 50, hkl 0 1 0
- 2θ = 21.60°, d 4.113, I = 54, hkl 0 1 1
- 2θ = 31.12°, d 2.873, I = 58, hkl 2 1 0
- 2θ = 32.92°, d 2.721, I = 100, hkl 0 0 2
- 2θ = 35.32°, d 2.541, I = 58, hkl 2 1 1
- 2θ = 43.49°, d 2.081, I = 22, hkl 2 2 1
- 2θ = 45.92°, d 1.976, I = 22, hkl 2 1 2
- 2θ = 52.07°, d 1.756, I = 31, hkl 2 3 0
- 2θ = 58.78°, d 1.571, I = 22, hkl 0 2 3
- 2θ = 60.31°, d 1.535, I = 23, hkl 2 1 3
- 2θ = 62.98°, d 1.476, I = 24, hkl 2 3 2
- 2θ = 67.40°, d 1.389, I = 23, hkl 4 0 2

Structure:
```
data_Na2CoGeO4
_chemical_formula_sum 'Na4 Co2 Ge2 O8'
_symmetry_space_group_name_H-M 'P m n 21'
_symmetry_Int_Tables_number 31
_symmetry_space_group_name_Hall 'P 2ac -2'
_cell_length_a 6.4640
_cell_length_b 6.2774
_cell_length_c 5.4451
_cell_angle_alpha 90.00
_cell_angle_beta 90.00
_cell_angle_gamma 90.00
loop_
_atom_site_label
_atom_site_fract_x
_atom_site_fract_y
_atom_site_fract_z
Na1 0.2471 0.1655 0.0000
Co1 0.0000 0.3542 0.5074
Ge1 0.0000 0.6545 0.0115
O1 0.0000 0.3995 0.8703
O2 0.0000 0.6296 0.3368
O3 0.2296 0.8017 0.9297
```